(1)
This entry pairs a crystal structure of Ni5C7 with its calculated X-ray powder pattern. Radiation: Cu Ka. Structure: a crystal structure in Alexandria, relaxed with GGA-PBE.
Neutral-atom scattering factors, no anomalous dispersion.

Top 6 peaks for 10° ≤ 2θ ≤ 90°, in order of rising 2θ:
d/Å, 2θ/deg, I/Imax
2.460, 36.53, 61
2.323, 38.77, 59
2.249, 40.10, 35
1.969, 46.10, 100
1.856, 49.10, 35
1.616, 57.00, 29

Crystal structure
```
data_Ni5C7
_chemical_formula_sum 'Ni10 C14'
_cell_length_a 6.570
_cell_length_b 6.570
_cell_length_c 4.497
_cell_angle_alpha 90.00
_cell_angle_beta 90.00
_cell_angle_gamma 90.00
_space_group_name_H-M_alt 'I 4 m m'
_space_group_IT_number 107
_space_group_name_Hall 'I 4 -2'
loop_
_atom_site_label
_atom_site_fract_x
_atom_site_fract_y
_atom_site_fract_z
_atom_site_occupancy
Ni1 0.000 0.000 0.000 1
Ni2 0.197 0.197 0.409 1
C1 0.000 0.000 0.584 1
C2 0.000 0.337 0.115 1
C3 0.000 0.500 0.366 1
```

---

(2)
This entry pairs a crystal structure of Ni4C23 with its calculated X-ray powder pattern. Radiation: Cu Ka. Structure: a crystal structure in Alexandria, relaxed with GGA-PBE.
Neutral-atom scattering factors, no anomalous dispersion.

Top 6 peaks for 10° ≤ 2θ ≤ 90°, in order of rising 2θ:
d/Å, 2θ/deg, I/Imax
3.099, 28.81, 62
2.829, 31.62, 56
1.922, 47.29, 51
1.852, 49.19, 100
1.733, 52.84, 28
1.124, 86.59, 28

Crystal structure
```
data_Ni4C23
_chemical_formula_sum 'Ni8 C46'
_cell_length_a 6.930
_cell_length_b 6.930
_cell_length_c 6.930
_cell_angle_alpha 90.00
_cell_angle_beta 90.00
_cell_angle_gamma 90.00
_space_group_name_H-M_alt 'P m -3 n'
_space_group_IT_number 223
_space_group_name_Hall '-P 4n 2 3'
loop_
_atom_site_label
_atom_site_fract_x
_atom_site_fract_y
_atom_site_fract_z
_atom_site_occupancy
Ni1 0.000 0.000 0.000 1
Ni2 0.000 0.250 0.500 1
C1 0.000 0.306 0.122 1
C2 0.000 0.500 0.250 1
C3 0.185 0.185 0.185 1
```

---

(3)
This entry pairs a crystal structure of Ni4C5 with its calculated X-ray powder pattern. Radiation: Cu Ka. Structure: a crystal structure in Alexandria, relaxed with GGA-PBE.
Neutral-atom scattering factors, no anomalous dispersion.

Top 6 peaks for 10° ≤ 2θ ≤ 90°, in order of rising 2θ:
d/Å, 2θ/deg, I/Imax
5.992, 14.78, 70
2.996, 29.82, 100
2.385, 37.71, 74
2.118, 42.68, 67
1.708, 53.67, 82
1.400, 66.81, 25

Crystal structure
```
data_Ni4C5
_chemical_formula_sum 'Ni8 C10'
_cell_length_a 8.474
_cell_length_b 8.474
_cell_length_c 2.486
_cell_angle_alpha 90.00
_cell_angle_beta 90.00
_cell_angle_gamma 90.00
_space_group_name_H-M_alt 'I 4/m m m'
_space_group_IT_number 139
_space_group_name_Hall '-I 4 2'
loop_
_atom_site_label
_atom_site_fract_x
_atom_site_fract_y
_atom_site_fract_z
_atom_site_occupancy
Ni1 0.000 0.218 0.000 1
C1 0.000 0.000 0.000 1
C2 0.219 0.219 0.500 1
```